No. 1
This entry pairs a crystal structure of KLiSb3O8 with its theoretical XRD peak list. Radiation: λ = 1.5418 Å (Cu Kα). Structure: a GGA-PBE-relaxed structure.

Largest 10 diffraction maxima, in order of falling intensity, 10 to 80 degrees two-theta:
index  Position (°2θ)  Rel. int.
0 1 1  16.51  100
2 -1 0  33.47  96
2 1 -1  33.34  83
0 1 -1  16.94  80
0 1 2  26.20  79
0 2 -1  26.95  69
2 0 2  33.75  59
0 1 0  11.86  55
0 0 1  11.74  50
2 3 2  44.72  49

Structural model:
a b c (Å): 6.486 7.647 7.696
angles (deg): 86.04 78.51 77.38
Sites, in units of the cell vectors:
K1 0.000 0.000 0.000
K2 0.499 0.015 0.976
Li1 0.003 0.554 0.222
Li2 0.630 0.809 0.494
Sb1 0.110 0.844 0.508
Sb2 0.283 0.208 0.475
Sb3 0.361 0.515 0.834
Sb4 0.506 0.552 0.196
Sb5 0.773 0.209 0.478
Sb6 0.857 0.520 0.828
O1 0.094 0.082 0.340
O2 0.121 0.677 0.723
O3 0.148 0.373 0.936
O4 0.271 0.990 0.631
O5 0.282 0.409 0.302
O6 0.291 0.676 0.045
O7 0.409 0.740 0.374
O8 0.465 0.312 0.628
O9 0.584 0.635 0.706
O10 0.588 0.091 0.358
O11 0.597 0.377 0.974
O12 0.736 0.674 0.058
O13 0.755 0.409 0.301
O14 0.823 0.000 0.645
O15 0.939 0.746 0.385
O16 0.973 0.325 0.589


No. 2
This entry pairs a crystal structure of KLiSb3O8 with its theoretical XRD peak list. Radiation: λ = 1.5418 Å (Cu Kα). Structure: a GGA-PBE-relaxed structure.

Largest 10 diffraction maxima, in order of falling intensity, 10 to 80 degrees two-theta:
index  Position (°2θ)  Rel. int.
1 2 -3  33.24  100
3 0 -2  33.49  84
-2 2 1  27.24  78
1 -1 2  26.64  59
1 -1 1  16.88  57
1 0 -2  20.88  54
2 -2 1  27.06  49
1 -1 0  12.12  46
0 0 1  11.80  44
2 0 -1  21.79  38

Structural model:
a b c (Å): 8.804 8.807 8.965
angles (deg): 108.20 107.47 112.08
Sites, in units of the cell vectors:
K1 0.000 0.000 0.000
K2 0.297 0.263 0.912
K3 0.656 0.651 0.022
Li1 0.385 0.186 0.526
Li2 0.433 0.957 0.730
Li3 0.999 0.799 0.525
Sb1 0.000 0.122 0.461
Sb2 0.136 0.649 0.807
Sb3 0.158 0.802 0.301
Sb4 0.316 0.509 0.501
Sb5 0.491 0.979 0.149
Sb6 0.651 0.844 0.500
Sb7 0.657 0.477 0.475
Sb8 0.817 0.330 0.807
Sb9 0.831 0.317 0.150
O1 0.040 0.324 0.331
O2 0.247 0.965 0.554
O3 0.278 0.937 0.937
O4 0.283 0.682 0.672
O5 0.292 0.347 0.618
O6 0.359 0.699 0.008
O7 0.364 0.690 0.395
O8 0.365 0.006 0.292
O9 0.378 0.345 0.348
O10 0.618 0.682 0.640
O11 0.641 0.350 0.623
O12 0.649 0.048 0.672
O13 0.653 0.280 0.273
O14 0.658 0.316 0.936
O15 0.662 0.629 0.348
O16 0.666 0.949 0.330
O17 0.672 0.037 0.050
O18 0.930 0.985 0.619
O19 0.932 0.641 0.623
O20 0.943 0.587 0.290
O21 0.969 0.308 0.008
O22 0.983 0.619 0.943
O23 0.998 0.366 0.705
O24 0.999 0.920 0.260


Copy entry 2 word for word.
This entry pairs a crystal structure of KLiSb3O8 with its theoretical XRD peak list. Radiation: λ = 1.5418 Å (Cu Kα). Structure: a GGA-PBE-relaxed structure.

Largest 10 diffraction maxima, in order of falling intensity, 10 to 80 degrees two-theta:
index  Position (°2θ)  Rel. int.
1 2 -3  33.24  100
3 0 -2  33.49  84
-2 2 1  27.24  78
1 -1 2  26.64  59
1 -1 1  16.88  57
1 0 -2  20.88  54
2 -2 1  27.06  49
1 -1 0  12.12  46
0 0 1  11.80  44
2 0 -1  21.79  38

Structural model:
a b c (Å): 8.804 8.807 8.965
angles (deg): 108.20 107.47 112.08
Sites, in units of the cell vectors:
K1 0.000 0.000 0.000
K2 0.297 0.263 0.912
K3 0.656 0.651 0.022
Li1 0.385 0.186 0.526
Li2 0.433 0.957 0.730
Li3 0.999 0.799 0.525
Sb1 0.000 0.122 0.461
Sb2 0.136 0.649 0.807
Sb3 0.158 0.802 0.301
Sb4 0.316 0.509 0.501
Sb5 0.491 0.979 0.149
Sb6 0.651 0.844 0.500
Sb7 0.657 0.477 0.475
Sb8 0.817 0.330 0.807
Sb9 0.831 0.317 0.150
O1 0.040 0.324 0.331
O2 0.247 0.965 0.554
O3 0.278 0.937 0.937
O4 0.283 0.682 0.672
O5 0.292 0.347 0.618
O6 0.359 0.699 0.008
O7 0.364 0.690 0.395
O8 0.365 0.006 0.292
O9 0.378 0.345 0.348
O10 0.618 0.682 0.640
O11 0.641 0.350 0.623
O12 0.649 0.048 0.672
O13 0.653 0.280 0.273
O14 0.658 0.316 0.936
O15 0.662 0.629 0.348
O16 0.666 0.949 0.330
O17 0.672 0.037 0.050
O18 0.930 0.985 0.619
O19 0.932 0.641 0.623
O20 0.943 0.587 0.290
O21 0.969 0.308 0.008
O22 0.983 0.619 0.943
O23 0.998 0.366 0.705
O24 0.999 0.920 0.260